The following is a simulated powder diffractogram of Ag2SnHgTe3Se. It was derived from the PBE geometry in OQMD, using Cu Kα.
Lines closer than 0.1° are merged.

Crystal structure
Unit cell a=9.0536 b=9.1185 c=7.8196 alpha=90.00 beta=125.01 gamma=90.00
Space group Cm (No. 8)
Inequivalent atoms, fractional coordinates:
Ag 0.0000 0.2390 0.0000
Sn 0.0015 0.0000 0.4812
Hg 0.4886 0.0000 0.4867
Te 0.1210 0.5000 0.2252
Te 0.1254 0.2448 0.7484
Se 0.1139 0.0000 0.2375

Top 12 peaks for 5° ≤ 2θ ≤ 70°, sorted by position:
d/Å, I/Imax
3.712, 100.0
3.686, 33.7
2.280, 17.7
2.273, 35.3
2.263, 51.7
1.940, 21.8
1.935, 27.5
1.928, 15.3
1.606, 11.6
1.475, 8.7
1.471, 6.2
1.466, 6.6


The following is a simulated powder diffractogram of SrAgHg2. It was derived from the PBE geometry in OQMD, using Cu Kα.
Lines closer than 0.1° are merged.

Crystal structure
Unit cell a=7.4459 b=7.4459 c=7.4459 alpha=90.00 beta=90.00 gamma=90.00
Space group F-43m (No. 216)
Inequivalent atoms, fractional coordinates:
Sr 0.0000 0.0000 0.0000
Ag 0.2500 0.2500 0.2500
Hg 0.0000 0.0000 0.5000
Hg 0.2500 0.2500 0.7500

Top 7 peaks for 5° ≤ 2θ ≤ 70°, sorted by position:
d/Å, I/Imax
4.299, 12.1
2.633, 100.0
2.245, 7.3
1.861, 18.0
1.708, 3.3
1.520, 37.3
1.433, 2.6


The following is a simulated powder diffractogram of Y2AgHg. It was derived from the PBE geometry in OQMD, using Cu Kα.
Lines closer than 0.1° are merged.

Crystal structure
Unit cell a=7.2309 b=7.2309 c=7.2309 alpha=90.00 beta=90.00 gamma=90.00
Space group F-43m (No. 216)
Inequivalent atoms, fractional coordinates:
Y 0.0000 0.0000 0.0000
Y 0.2500 0.2500 0.2500
Ag 0.2500 0.2500 0.7500
Hg 0.0000 0.0000 0.5000

Top 10 peaks for 5° ≤ 2θ ≤ 70°, sorted by position:
d/Å, I/Imax
4.175, 11.1
3.615, 3.7
2.557, 100.0
2.180, 6.7
2.087, 1.2
1.808, 17.6
1.659, 3.0
1.617, 1.8
1.476, 35.7
1.392, 2.3


The following is a simulated powder diffractogram of Ho3In3AgIrPd. It was derived from the PBE geometry in OQMD, using Cu Kα.
Lines closer than 0.1° are merged.

Crystal structure
Unit cell a=7.8032 b=7.8032 c=3.7683 alpha=90.00 beta=90.00 gamma=120.00
Space group P-6 (No. 174)
Inequivalent atoms, fractional coordinates:
Ho 0.0853 0.3525 0.0000
In 0.3928 0.3264 0.5000
Ag 0.6667 0.3333 0.0000
Ir 0.3333 0.6667 0.5000
Pd 0.0000 0.0000 0.5000

Top 12 peaks for 5° ≤ 2θ ≤ 70°, sorted by position:
d/Å, I/Imax
6.758, 14.5
2.710, 100.0
2.554, 43.7
2.516, 92.4
2.253, 49.0
2.114, 27.1
1.884, 22.4
1.874, 16.4
1.678, 12.5
1.516, 17.4
1.445, 23.6
1.434, 34.7


The following is a simulated powder diffractogram of Ho3In3AgIrPt. It was derived from the PBE geometry in OQMD, using Cu Kα.
Lines closer than 0.1° are merged.

Crystal structure
Unit cell a=7.7787 b=7.7787 c=3.7667 alpha=90.00 beta=90.00 gamma=120.00
Space group P-6 (No. 174)
Inequivalent atoms, fractional coordinates:
Ho 0.0824 0.3439 0.0000
In 0.3966 0.3326 0.5000
Ag 0.6667 0.3333 0.0000
Ir 0.3333 0.6667 0.5000
Pt 0.0000 0.0000 0.5000

Top 12 peaks for 5° ≤ 2θ ≤ 70°, sorted by position:
d/Å, I/Imax
6.737, 10.1
2.706, 100.0
2.546, 42.2
2.511, 93.3
2.246, 52.8
2.109, 26.2
1.883, 23.0
1.868, 15.6
1.674, 11.6
1.514, 17.0
1.443, 25.8
1.430, 33.8


The following is a simulated powder diffractogram of Ho3MgIn3AgPd. It was derived from the PBE geometry in OQMD, using Cu Kα.
Lines closer than 0.1° are merged.

Crystal structure
Unit cell a=7.9991 b=7.9991 c=3.7920 alpha=90.00 beta=90.00 gamma=120.00
Space group P-6 (No. 174)
Inequivalent atoms, fractional coordinates:
Ho 0.0325 0.4134 0.0000
Mg 0.6667 0.3333 0.5000
In 0.2760 0.2642 0.5000
Ag 0.0000 0.0000 0.0000
Pd 0.3333 0.6667 0.5000

Top 12 peaks for 5° ≤ 2θ ≤ 70°, sorted by position:
d/Å, I/Imax
6.927, 19.6
2.752, 100.0
2.618, 44.2
2.557, 66.4
2.309, 39.4
2.155, 25.2
1.921, 13.0
1.896, 17.7
1.714, 12.4
1.536, 17.0
1.466, 50.5
1.350, 8.2


The following is a simulated powder diffractogram of HoTm2In3Ni2Ag. It was derived from the PBE geometry in OQMD, using Cu Kα.
Lines closer than 0.1° are merged.

Crystal structure
Unit cell a=3.8470 b=13.0367 c=7.5134 alpha=90.00 beta=90.00 gamma=90.00
Space group Amm2 (No. 38)
Inequivalent atoms, fractional coordinates:
Ho 0.0000 0.0000 0.0000
Tm 0.0000 0.2051 0.6143
In 0.5000 0.0000 0.6832
In 0.5000 0.1375 0.2731
Ni 0.5000 0.1676 0.9095
Ag 0.0000 0.0000 0.4105

Top 12 peaks for 5° ≤ 2θ ≤ 70°, sorted by position:
d/Å, I/Imax
3.256, 14.1
2.689, 100.0
2.485, 77.9
2.462, 38.1
2.171, 33.7
2.073, 11.5
1.924, 20.5
1.806, 16.7
1.635, 17.5
1.516, 16.7
1.440, 17.4
1.393, 27.3


The following is a simulated powder diffractogram of Y2HoIn3Ni2Ag. It was derived from the PBE geometry in OQMD, using Cu Kα.
Lines closer than 0.1° are merged.

Crystal structure
Unit cell a=3.7904 b=13.2440 c=7.6580 alpha=90.00 beta=90.00 gamma=90.00
Space group Amm2 (No. 38)
Inequivalent atoms, fractional coordinates:
Y 0.0000 0.2051 0.0000
Ho 0.0000 0.0000 0.6157
In 0.5000 0.0000 0.9305
In 0.5000 0.1370 0.3425
Ni 0.5000 0.1654 0.7043
Ag 0.0000 0.0000 0.2057

Top 12 peaks for 5° ≤ 2θ ≤ 70°, sorted by position:
d/Å, I/Imax
6.623, 12.6
3.313, 9.5
2.693, 100.0
2.505, 41.5
2.495, 82.6
2.209, 42.7
2.090, 21.0
1.895, 20.9
1.838, 13.7
1.511, 16.9
1.438, 20.6
1.411, 32.2


The following is a simulated powder diffractogram of HoInAg2O4. It was derived from the PBE geometry in OQMD, using Cu Kα.
Lines closer than 0.1° are merged.

Crystal structure
Unit cell a=3.3861 b=3.3861 c=12.5970 alpha=90.00 beta=90.00 gamma=120.00
Space group P-3m1 (No. 164)
Inequivalent atoms, fractional coordinates:
Ho 0.0000 0.0000 0.0000
In 0.0000 0.0000 0.5000
Ag 0.3333 0.6667 0.2512
O 0.3333 0.6667 0.0865
O 0.3333 0.6667 0.4170

Top 12 peaks for 5° ≤ 2θ ≤ 70°, sorted by position:
d/Å, I/Imax
6.299, 7.8
3.149, 40.8
2.932, 8.0
2.856, 45.8
2.658, 100.0
2.404, 11.2
2.146, 13.0
1.911, 13.2
1.707, 32.5
1.693, 28.0
1.491, 26.1
1.428, 14.5


The following is a simulated powder diffractogram of LaHoAg2Sb4. It was derived from the PBE geometry in OQMD, using Cu Kα.
Lines closer than 0.1° are merged.

Crystal structure
Unit cell a=4.3891 b=4.3891 c=10.6202 alpha=90.00 beta=90.00 gamma=90.00
Space group P4mm (No. 99)
Inequivalent atoms, fractional coordinates:
La 0.0000 0.0000 0.0000
Ho 0.5000 0.5000 0.4756
Ag 0.0000 0.5000 0.7288
Sb 0.0000 0.0000 0.5503
Sb 0.0000 0.5000 0.2452
Sb 0.5000 0.5000 0.9089

Top 12 peaks for 5° ≤ 2θ ≤ 70°, sorted by position:
d/Å, I/Imax
10.620, 5.1
3.383, 12.1
2.755, 7.1
2.679, 100.0
2.655, 14.1
2.272, 7.8
2.195, 34.3
1.912, 7.9
1.692, 14.3
1.552, 11.3
1.537, 5.7
1.442, 6.3


The following is a simulated powder diffractogram of HoMgAg4. It was derived from the PBE geometry in OQMD, using Cu Kα.
Lines closer than 0.1° are merged.

Crystal structure
Unit cell a=5.5384 b=5.5384 c=13.5557 alpha=90.00 beta=90.00 gamma=120.00
Space group R3m (No. 160, hexagonal axes)
Inequivalent atoms, fractional coordinates:
Ho 0.0000 0.0000 0.0000
Mg 0.0000 0.0000 0.7492
Ag 0.0000 0.0000 0.3756
Ag 0.1671 0.3343 0.2084

Top 11 peaks for 5° ≤ 2θ ≤ 70°, sorted by position:
d/Å, I/Imax
4.521, 23.0
3.915, 13.2
2.768, 20.2
2.361, 100.0
2.260, 47.0
1.958, 6.8
1.796, 5.6
1.751, 5.4
1.598, 7.7
1.507, 31.6
1.384, 25.8


The following is a simulated powder diffractogram of Ho3Mg3TlAgPd. It was derived from the PBE geometry in OQMD, using Cu Kα.
Lines closer than 0.1° are merged.

Crystal structure
Unit cell a=7.8365 b=7.8365 c=3.9656 alpha=90.00 beta=90.00 gamma=120.00
Space group P-6 (No. 174)
Inequivalent atoms, fractional coordinates:
Ho 0.0938 0.3631 0.0000
Mg 0.4173 0.3330 0.5000
Tl 0.0000 0.0000 0.5000
Ag 0.6667 0.3333 0.0000
Pd 0.3333 0.6667 0.5000

Top 12 peaks for 5° ≤ 2θ ≤ 70°, sorted by position:
d/Å, I/Imax
6.787, 25.2
3.918, 45.4
3.424, 20.3
2.787, 92.8
2.578, 100.0
2.565, 35.7
2.262, 37.3
2.154, 35.1
1.983, 21.6
1.700, 24.0
1.491, 19.9
1.449, 30.0